No. 1
For Na3Mn2P2C2O14, DFT lattice parameters and positions (PBE+U) gives the computed X-ray diffraction stick pattern in this record (Cu Kα).
Intensities are scaled so that the largest is 100.

Cell and atoms:
```
data_Na3Mn2P2C2O14
_chemical_formula_sum 'Na6 Mn4 P4 C4 O28'
_space_group_name_H-M_alt 'P -1'
_space_group_IT_number 2
_space_group_name_Hall '-P 1'
_cell_length_a 6.5766
_cell_length_b 9.0248
_cell_length_c 10.4129
_cell_angle_alpha 91.88
_cell_angle_beta 90.42
_cell_angle_gamma 91.25
loop_
_atom_site_label
_atom_site_fract_x
_atom_site_fract_y
_atom_site_fract_z
Na1 0.0051 0.2399 0.3762
Na2 0.0272 0.2409 0.8820
Na3 0.4852 0.2398 0.3738
Mn1 0.2540 0.6519 0.3888
Mn2 0.2599 0.6541 0.8965
P1 0.2463 0.4262 0.1416
P2 0.2493 0.4287 0.6419
C1 0.2483 0.9201 0.3642
C2 0.2526 0.9218 0.8662
O1 0.0580 0.3255 0.1082
O2 0.0613 0.3301 0.6042
O3 0.2408 0.0570 0.3541
O4 0.2416 0.4641 0.2908
O5 0.2431 0.4696 0.7881
O6 0.2426 0.5722 0.0694
O7 0.2441 0.8229 0.2679
O8 0.2449 0.0553 0.8490
O9 0.2499 0.5773 0.5692
O10 0.2542 0.8575 0.9780
O11 0.2588 0.8190 0.7703
O12 0.2604 0.8542 0.4761
O13 0.4330 0.3314 0.1146
O14 0.4344 0.3357 0.6038
```

The 10 most intense peaks (2θ = 10–90°), by intensity:
| hkl | two_theta | I (rel.) |
| --- | --- | --- |
| 2 0 0 | 27.12 | 100 |
| 0 2 -2 | 25.71 | 84 |
| 0 0 4 | 34.47 | 60 |
| 1 1 0 | 16.86 | 55 |
| 1 -1 0 | 16.51 | 53 |
| 0 1 2 | 19.98 | 42 |
| 1 1 2 | 24.37 | 41 |
| 2 1 -2 | 33.63 | 40 |
| 0 1 -2 | 19.41 | 37 |
| 0 2 2 | 26.58 | 32 |

---

No. 2
For Cr3Sb3Te2O16, DFT lattice parameters and positions (PBE+U) gives the computed X-ray diffraction stick pattern in this record (Cu Kα).
Intensities are scaled so that the largest is 100.

Cell and atoms:
```
data_Cr3Sb3Te2O16
_chemical_formula_sum 'Cr6 Sb6 Te4 O32'
_space_group_name_H-M_alt 'C 1 m 1'
_space_group_IT_number 8
_space_group_name_Hall 'C -2y'
_cell_length_a 10.6378
_cell_length_b 6.1904
_cell_length_c 9.9644
_cell_angle_alpha 90.00
_cell_angle_beta 90.02
_cell_angle_gamma 90.00
loop_
_atom_site_label
_atom_site_fract_x
_atom_site_fract_y
_atom_site_fract_z
Cr1 0.0000 0.0000 0.0000
Cr2 0.4152 0.2476 0.4994
Sb1 0.1657 0.5000 0.4981
Sb2 0.2500 0.2497 0.9969
Te1 0.1521 0.0000 0.7100
Te2 0.4856 0.0000 0.2383
O1 0.0005 0.5000 0.5974
O2 0.0700 0.2831 0.3770
O3 0.0932 0.2198 0.8840
O4 0.1667 0.0000 0.1038
O5 0.1742 0.5000 0.0995
O6 0.2467 0.2576 0.6019
O7 0.3194 0.0000 0.8863
O8 0.3319 0.5000 0.4051
O9 0.3336 0.5000 0.8940
O10 0.3519 0.0000 0.3796
O11 0.4065 0.2664 0.1048
O12 0.4939 0.5000 0.6059
```

The 10 most intense peaks (2θ = 10–90°), by intensity:
| hkl | two_theta | I (rel.) |
| --- | --- | --- |
| 2 0 -1 | 18.86 | 100 |
| 2 0 2 | 24.44 | 46 |
| 0 0 2 | 17.80 | 35 |
| 2 2 1 | 34.72 | 34 |
| 1 1 3 | 31.73 | 33 |
| 3 1 -2 | 34.25 | 33 |
| 2 2 -3 | 43.43 | 26 |
| 2 2 -5 | 57.68 | 20 |
| 4 0 1 | 34.92 | 17 |
| 6 2 0 | 60.15 | 17 |

---

No. 3
For YMn2O5, DFT lattice parameters and positions (PBE+U) gives the computed X-ray diffraction stick pattern in this record (Cu Kα).
Intensities are scaled so that the largest is 100.

Cell and atoms:
```
data_YMn2O5
_chemical_formula_sum 'Y4 Mn8 O20'
_space_group_name_H-M_alt 'P b a m'
_space_group_IT_number 55
_space_group_name_Hall '-P 2 2ab'
_cell_length_a 7.3722
_cell_length_b 8.5766
_cell_length_c 5.7888
_cell_angle_alpha 90.00
_cell_angle_beta 90.00
_cell_angle_gamma 90.00
loop_
_atom_site_label
_atom_site_fract_x
_atom_site_fract_y
_atom_site_fract_z
Y1 0.1379 0.1708 0.0000
Mn1 0.0000 0.5000 0.2541
Mn2 0.0886 0.8487 0.5000
O1 0.0000 0.0000 0.2708
O2 0.1067 0.7067 0.2410
O3 0.1505 0.4302 0.5000
O4 0.1630 0.4430 0.0000
```

The 10 most intense peaks (2θ = 10–90°), by intensity:
| hkl | two_theta | I (rel.) |
| --- | --- | --- |
| 2 1 1 | 30.58 | 100 |
| 1 2 1 | 28.60 | 68 |
| 1 3 0 | 33.62 | 49 |
| 1 1 2 | 34.91 | 38 |
| 2 1 3 | 54.74 | 24 |
| 4 0 2 | 59.44 | 23 |
| 0 0 4 | 64.38 | 23 |
| 3 2 1 | 45.33 | 22 |
| 3 3 2 | 58.95 | 22 |
| 2 0 0 | 24.14 | 21 |